# AcTm4Au3O12
Calculated XRD peak list, Cu Kα, 1.54184 Å. Input: a structure optimized by DFT (GGA-PBE).

Principal peaks in the range 15 to 90 degrees two-theta, in order of falling intensity:
two_theta	d (Å)	I_rel
30.7	2.908	100
54.7	1.679	46
89.1	1.099	23
44.0	2.056	21
72.7	1.300	19
64.0	1.454	13
81.0	1.187	5
21.6	4.112	1
37.9	2.374	1
34.5	2.601	1

```
data_AcTm4Au3O12
_chemical_formula_sum 'Ac2 Tm8 Au6 O24'
_cell_length_a 8.2247
_cell_length_b 8.2247
_cell_length_c 8.2247
_cell_angle_alpha 90.00
_cell_angle_beta 90.00
_cell_angle_gamma 90.00
_symmetry_space_group_name_H-M 'I m -3'
_symmetry_Int_Tables_number 204
_symmetry_space_group_name_Hall '-I 2 2 3'
loop_
_atom_site_label
_atom_site_type_symbol
_atom_site_fract_x
_atom_site_fract_y
_atom_site_fract_z
Ac1 Ac 0.0000 0.0000 0.0000
Tm1 Tm 0.2500 0.2500 0.2500
Au1 Au 0.0000 0.0000 0.5000
O1 O 0.0000 0.3051 0.1585
```